Structure and computed powder XRD pattern of Er2Ag4Te5 (a crystal structure in Alexandria, relaxed with PBE; Cu Kα (λ = 1.5418 Å)).
Neutral-atom scattering factors, no anomalous dispersion.

Cell and atoms:
Cell lengths 4.4379, 4.4379, 57.3483 Å; angles 90.00, 90.00, 120.00 degrees
Space group R-3m (No. 166, hexagonal axes)
One atom of each set of equivalent atoms:
Er 0.0000 0.0000 0.1362 [6 per cell]
Ag 0.0000 0.0000 0.3162 [6 per cell]
Ag 0.0000 0.0000 0.4155 [6 per cell]
Te 0.0000 0.0000 0.2272 [6 per cell]
Te 0.0000 0.0000 0.3681 [6 per cell]
Te 0.0000 0.0000 0.5000 [3 per cell]

Main lines, most intense first (15° ≤ 2θ ≤ 90°):
| index | d [Å] | I/Imax |
| --- | --- | --- |
| 0 1 11 | 3.094 | 100 |
| 1 1 0 | 2.219 | 97 |
| 1 0 22 | 2.157 | 74 |
| 1 0 1 | 3.833 | 28 |
| 0 1 14 | 2.803 | 27 |
| 0 1 8 | 3.387 | 27 |
| 1 0 4 | 3.712 | 27 |
| 0 2 22 | 1.547 | 26 |
| 2 1 22 | 1.269 | 26 |
| 2 0 11 | 1.803 | 21 |